KMn2O3: theoretical X-ray powder pattern (CuKα), based on the PBE+U geometry in Alexandria.
No peak broadening, texture or thermal motion is included.

Structure:
Cell: 5.6391 5.6391 5.6940 Å, 90.00 90.00 120.00°
Space group P6_3/mcm (No. 193)
Inequivalent atoms, fractional coordinates:
K 0.0000 0.0000 0.2500 [2 per cell]
Mn 0.3333 0.6667 0.0000 [4 per cell]
O 0.0000 0.4654 0.2500 [6 per cell]

Principal peaks in the range 2θ = 10–90°, in order of falling intensity:
31.7 deg, intensity 100, (1 1 0); 49.2 deg, intensity 56, (2 0 2); 36.5 deg, intensity 48, (1 0 2); 45.3 deg, intensity 30, (1 1 2); 18.2 deg, intensity 23, (1 0 0); 59.7 deg, intensity 21, (2 1 2)

---

KMnO4: theoretical X-ray powder pattern (CuKα), based on the PBE+U geometry in Alexandria.
No peak broadening, texture or thermal motion is included.

Structure:
Cell: 9.282 5.865 7.546 Å, 90.00 90.00 90.00°
Space group Pnma (No. 62)
Inequivalent atoms, fractional coordinates:
K 0.183 0.250 0.156 [4 per cell]
Mn 0.057 0.250 0.692 [4 per cell]
O 0.078 0.024 0.813 [8 per cell]
O 0.104 0.750 0.390 [4 per cell]
O 0.175 0.250 0.534 [4 per cell]

Principal peaks in the range 2θ = 10–90°, in order of falling intensity:
27.2 deg, intensity 100, (2 1 1); 29.8 deg, intensity 75, (1 1 2); 24.5 deg, intensity 73, (2 1 0); 30.5 deg, intensity 57, (0 2 0); 19.2 deg, intensity 52, (0 1 1); 40.7 deg, intensity 47, (4 0 1)

---

K2Mn2O3: theoretical X-ray powder pattern (CuKα), based on the PBE+U geometry in Alexandria.
No peak broadening, texture or thermal motion is included.

Structure:
Cell: 6.181 6.546 6.530 Å, 90.00 115.23 90.00°
Space group P2_1/c (No. 14)
Inequivalent atoms, fractional coordinates:
K 0.184 0.140 0.429 [4 per cell]
Mn 0.332 0.615 0.571 [4 per cell]
O 0.000 0.000 0.000 [2 per cell]
O 0.412 0.630 0.284 [4 per cell]

Principal peaks in the range 2θ = 10–90°, in order of falling intensity:
32.0 deg, intensity 100, (1 2 -1); 33.4 deg, intensity 44, (2 0 -2); 34.9 deg, intensity 43, (2 1 0); 38.2 deg, intensity 41, (1 2 1); 29.6 deg, intensity 28, (1 1 1); 20.2 deg, intensity 28, (0 1 1)

---

K11Mn4O16: theoretical X-ray powder pattern (CuKα), based on the PBE+U geometry in Alexandria.
No peak broadening, texture or thermal motion is included.

Structure:
Cell: 7.860 7.860 18.465 Å, 90.00 90.00 90.00°
Space group I-42m (No. 121)
Inequivalent atoms, fractional coordinates:
K 0.000 0.000 0.000 [2 per cell]
K 0.000 0.000 0.211 [4 per cell]
K 0.000 0.500 0.000 [4 per cell]
K 0.000 0.500 0.250 [4 per cell]
K 0.165 0.165 0.604 [8 per cell]
Mn 0.238 0.238 0.883 [8 per cell]
O 0.024 0.277 0.879 [16 per cell]
O 0.161 0.161 0.312 [8 per cell]
O 0.185 0.185 0.462 [8 per cell]

Principal peaks in the range 2θ = 10–90°, in order of falling intensity:
29.9 deg, intensity 100, (2 0 4); 18.6 deg, intensity 47, (1 1 2); 32.2 deg, intensity 34, (2 2 0); 34.6 deg, intensity 24, (3 0 1); 56.0 deg, intensity 21, (4 2 4); 42.9 deg, intensity 19, (2 1 7)